Structure and calculated powder diffraction line list of Bi4Rh (DFT lattice parameters and positions (PBE); Cu Kα X-rays).

Most intense lines, 15° ≤ 2θ ≤ 90°, low angle first:
(hkl), two_theta, Rel. int.
4 0 0, 28.53, 36
0 2 2, 28.72, 37
2 4 0, 30.81, 100
2 2 2, 32.15, 100
4 2 2, 40.93, 49
0 6 2, 49.06, 29

Unit cell a=12.5142 b=13.1008 c=7.0628 alpha=90.00 beta=90.00 gamma=90.00
Space group Fdd2 (No. 43)
Unique sites:
Bi 0.0954 0.3106 0.0000
Bi 0.1199 0.3233 0.4718
Rh 0.0000 0.0000 0.4992